Record 1
BeCu2Sb: simulated powder XRD pattern (copper Kα), based on a structure optimized by DFT (PBE).
Neutral-atom scattering factors, no anomalous dispersion.

The 6 most intense peaks (15° ≤ 2θ ≤ 90°), by intensity:
d (Å), 2θ/deg, intensity
2.383, 37.75, 100
2.077, 43.58, 64
2.020, 44.88, 58
1.751, 52.23, 35
1.324, 71.24, 27
3.506, 25.41, 26

Crystal structure
```
data_BeCu2Sb
_chemical_formula_sum 'Be1 Cu2 Sb1'
_cell_length_a 3.2491
_cell_length_b 3.5055
_cell_length_c 5.1564
_cell_angle_alpha 90.00
_cell_angle_beta 90.00
_cell_angle_gamma 90.00
_symmetry_space_group_name_H-M 'P m m 2'
_symmetry_Int_Tables_number 25
loop_
_symmetry_equiv_pos_as_xyz
'x,y,z'
'-x,-y,z'
'-x,y,z'
'x,-y,z'
loop_
_atom_site_label
_atom_site_type_symbol
_atom_site_fract_x
_atom_site_fract_y
_atom_site_fract_z
Be1 Be 0.0000 0.0000 0.0000
Cu1 Cu 0.0000 0.0000 0.4392
Cu2 Cu 0.5000 0.5000 0.2124
Sb1 Sb 0.5000 0.5000 0.7215
```



Record 2
Cs2HfTaAg: simulated powder XRD pattern (copper Kα), based on a structure optimized by DFT (PBE).
Neutral-atom scattering factors, no anomalous dispersion.

The 6 most intense peaks (15° ≤ 2θ ≤ 90°), by intensity:
d (Å), 2θ/deg, intensity
3.445, 25.86, 100
3.062, 29.16, 78
2.084, 43.43, 52
1.833, 49.74, 34
2.844, 31.46, 32
2.165, 41.72, 29

Crystal structure
```
data_Cs2HfTaAg
_chemical_formula_sum 'Cs2 Hf1 Ta1 Ag1'
_cell_length_a 6.1240
_cell_length_b 6.1240
_cell_length_c 5.6871
_cell_angle_alpha 90.00
_cell_angle_beta 90.00
_cell_angle_gamma 90.00
_symmetry_space_group_name_H-M 'P 4/m m m'
_symmetry_Int_Tables_number 123
_symmetry_space_group_name_Hall '-P 4 2'
loop_
_atom_site_label
_atom_site_type_symbol
_atom_site_fract_x
_atom_site_fract_y
_atom_site_fract_z
Cs1 Cs 0.0000 0.5000 0.0000
Hf1 Hf 0.0000 0.0000 0.5000
Ta1 Ta 0.5000 0.5000 0.5000
Ag1 Ag 0.0000 0.0000 0.0000
```



Record 3
Re2Tc2W: simulated powder XRD pattern (copper Kα), based on a structure optimized by DFT (PBE).
Neutral-atom scattering factors, no anomalous dispersion.

The 6 most intense peaks (15° ≤ 2θ ≤ 90°), by intensity:
d (Å), 2θ/deg, intensity
2.215, 40.74, 100
2.174, 41.55, 93
2.317, 38.86, 69
2.235, 40.36, 33
2.208, 40.87, 29
2.345, 38.39, 25

Crystal structure
```
data_Re2Tc2W
_chemical_formula_sum 'Re4 Tc4 W2'
_cell_length_a 4.9142
_cell_length_b 5.2887
_cell_length_c 6.9509
_cell_angle_alpha 81.87
_cell_angle_beta 72.61
_cell_angle_gamma 62.46
_symmetry_space_group_name_H-M 'P -1'
_symmetry_Int_Tables_number 2
loop_
_symmetry_equiv_pos_as_xyz
'x,y,z'
'-x,-y,-z'
loop_
_atom_site_label
_atom_site_type_symbol
_atom_site_fract_x
_atom_site_fract_y
_atom_site_fract_z
Re1 Re 0.0500 0.3435 0.3448
Re2 Re 0.3937 0.6584 0.8457
Tc1 Tc 0.2537 0.2279 0.9510
Tc2 Tc 0.4830 0.7729 0.4507
W1 W 0.0686 0.8645 0.2507
```



Record 4
Cs3Na8Sr: simulated powder XRD pattern (copper Kα), based on a structure optimized by DFT (PBE).
Neutral-atom scattering factors, no anomalous dispersion.

The 6 most intense peaks (15° ≤ 2θ ≤ 90°), by intensity:
d (Å), 2θ/deg, intensity
3.542, 25.14, 100
3.249, 27.45, 83
3.790, 23.47, 75
2.137, 42.29, 48
3.177, 28.09, 35
2.001, 45.31, 32

Crystal structure
```
data_Cs3Na8Sr
_chemical_formula_sum 'Cs3 Na8 Sr1'
_cell_length_a 7.5806
_cell_length_b 7.5806
_cell_length_c 12.6210
_cell_angle_alpha 90.00
_cell_angle_beta 90.00
_cell_angle_gamma 120.00
_symmetry_space_group_name_H-M 'P 3 m 1'
_symmetry_Int_Tables_number 156
loop_
_symmetry_equiv_pos_as_xyz
'x,y,z'
'-y,x-y,z'
'-x+y,-x,z'
'-y,-x,z'
'-x+y,y,z'
'x,x-y,z'
loop_
_atom_site_label
_atom_site_type_symbol
_atom_site_fract_x
_atom_site_fract_y
_atom_site_fract_z
Cs1 Cs 0.0000 0.0000 0.0000
Cs2 Cs 0.0000 0.0000 0.3787
Cs3 Cs 0.3333 0.6667 0.8677
Na1 Na 0.0038 0.5019 0.1993
Na2 Na 0.3340 0.1670 0.6748
Na3 Na 0.6667 0.3333 0.4392
Na4 Na 0.6667 0.3333 0.9394
Sr1 Sr 0.3333 0.6667 0.4990
```



Number 4 is which compound? Cs3Na8Sr